For ZrGe2Ru, DFT lattice parameters and positions (PBE) gives the computed X-ray powder pattern in this record (Cu Kα X-rays).
Kinematic intensities with the Lorentz-polarization factor, no thermal factor.

Principal peaks in the range 15 to 90 degrees two-theta, low angle first:
2theta  I/Imax
36.26  100.0
43.49  69.4
57.86  25.0
60.00  13.8
75.08  22.7
79.83  11.2

a = 5.144 Å, b = 5.144 Å, c = 5.144 Å
α = 47.72°, β = 47.72°, γ = 47.72°
Atoms (fractional coordinates):
Zr 0.000 0.000 0.000
Ge 0.226 0.226 0.226
Ge 0.774 0.774 0.774
Ru 0.500 0.500 0.500